Entry 1:
The following is a computed powder X-ray diffraction pattern of ReNiIr3. It was derived from a cell relaxed with PBE, using Cu Kα (λ = 1.5418 Å).
Neutral-atom scattering factors, no anomalous dispersion.

Top 10 peaks for 5° ≤ 2θ ≤ 70°, by angle:
10.8°, I 39
34.7°, I 37
38.9°, I 37
39.4°, I 27
40.1°, I 28
41.2°, I 100
42.1°, I 25
42.4°, I 77
42.8°, I 79
45.5°, I 31

Atomic structure:
```
data_ReNiIr3
_space_group_name_H-M_alt 'P 1'
_space_group_IT_number 1
_cell_length_a 2.7156
_cell_length_b 6.6063
_cell_length_c 8.8647
_cell_angle_alpha 68.38
_cell_angle_beta 81.27
_cell_angle_gamma 78.45
loop_
_space_group_symop_operation_xyz
'x,y,z'
loop_
_atom_site_label
_atom_site_type_symbol
_atom_site_fract_x
_atom_site_fract_y
_atom_site_fract_z
Re1 Re 0.1777 0.2220 0.4272
Re2 Re 0.8223 0.7780 0.5728
Ni1 Ni 0.0894 0.7942 0.0619
Ni2 Ni 0.9106 0.2058 0.9381
Ir1 Ir 0.1301 0.9857 0.7484
Ir2 Ir 0.2796 0.5660 0.8589
Ir3 Ir 0.5002 0.3571 0.6473
Ir4 Ir 0.4998 0.6429 0.3527
Ir5 Ir 0.7204 0.4340 0.1411
Ir6 Ir 0.8699 0.0143 0.2516
```

=====

Entry 2:
The following is a computed powder X-ray diffraction pattern of Re2Ni2Ir3. It was derived from a cell relaxed with PBE, using Cu Kα (λ = 1.5418 Å).
Neutral-atom scattering factors, no anomalous dispersion.

Top 10 peaks for 5° ≤ 2θ ≤ 70°, by angle:
10.0°, I 34
22.2°, I 18
40.2°, I 82
41.9°, I 100
42.8°, I 28
44.1°, I 46
45.4°, I 28
47.7°, I 29
53.4°, I 18
65.1°, I 18

Atomic structure:
```
data_Re2Ni2Ir3
_space_group_name_H-M_alt 'P 1'
_space_group_IT_number 1
_cell_length_a 9.1097
_cell_length_b 9.1097
_cell_length_c 2.7073
_cell_angle_alpha 90.00
_cell_angle_beta 90.00
_cell_angle_gamma 153.94
loop_
_space_group_symop_operation_xyz
'x,y,z'
loop_
_atom_site_label
_atom_site_type_symbol
_atom_site_fract_x
_atom_site_fract_y
_atom_site_fract_z
Re1 Re 0.2080 0.7920 0.0000
Re2 Re 0.7920 0.2080 0.0000
Ni1 Ni 0.0684 0.9316 0.0000
Ni2 Ni 0.9316 0.0684 0.0000
Ir1 Ir 0.3504 0.6496 0.5000
Ir2 Ir 0.5000 0.5000 0.5000
Ir3 Ir 0.6496 0.3504 0.5000
```

=====

Entry 3:
The following is a computed powder X-ray diffraction pattern of NiIr6Rh2. It was derived from a cell relaxed with PBE, using Cu Kα (λ = 1.5418 Å).
Neutral-atom scattering factors, no anomalous dispersion.

Top 10 peaks for 5° ≤ 2θ ≤ 70°, by angle:
17.5°, I 6
38.0°, I 10
38.1°, I 19
41.0°, I 31
43.5°, I 100
43.6°, I 20
57.2°, I 12
57.3°, I 6
68.7°, I 7
68.9°, I 14

Atomic structure:
```
data_NiIr6Rh2
_space_group_name_H-M_alt 'P 1'
_space_group_IT_number 1
_cell_length_a 5.1807
_cell_length_b 6.4500
_cell_length_c 8.1832
_cell_angle_alpha 89.84
_cell_angle_beta 74.77
_cell_angle_gamma 75.79
loop_
_space_group_symop_operation_xyz
'x,y,z'
loop_
_atom_site_label
_atom_site_type_symbol
_atom_site_fract_x
_atom_site_fract_y
_atom_site_fract_z
Ni1 Ni 0.1072 0.1406 0.2331
Ni2 Ni 0.8928 0.8594 0.7669
Ir1 Ir 0.1088 0.1378 0.5675
Ir2 Ir 0.1105 0.1369 0.8959
Ir3 Ir 0.2190 0.5303 0.8810
Ir4 Ir 0.2253 0.5267 0.2129
Ir5 Ir 0.4441 0.8089 0.3426
Ir6 Ir 0.4472 0.8065 0.6772
Ir7 Ir 0.5528 0.1935 0.3228
Ir8 Ir 0.5559 0.1911 0.6574
Ir9 Ir 0.7747 0.4733 0.7871
Ir10 Ir 0.7810 0.4697 0.1190
Ir11 Ir 0.8895 0.8631 0.1041
Ir12 Ir 0.8912 0.8622 0.4325
Rh1 Rh 0.2213 0.5296 0.5474
Rh2 Rh 0.4448 0.8055 0.0095
Rh3 Rh 0.5552 0.1945 0.9905
Rh4 Rh 0.7787 0.4704 0.4526
```

=====

Entry 4:
The following is a computed powder X-ray diffraction pattern of Ni3IrRh6. It was derived from a cell relaxed with PBE, using Cu Kα (λ = 1.5418 Å).
Neutral-atom scattering factors, no anomalous dispersion.

Top 10 peaks for 5° ≤ 2θ ≤ 70°, by angle:
22.6°, I 54
34.1°, I 21
41.0°, I 100
41.3°, I 96
42.6°, I 66
43.1°, I 54
44.6°, I 36
44.9°, I 61
46.6°, I 22
48.3°, I 35

Atomic structure:
```
data_Ni3IrRh6
_space_group_name_H-M_alt 'P 1'
_space_group_IT_number 1
_cell_length_a 6.7293
_cell_length_b 6.7293
_cell_length_c 6.7293
_cell_angle_alpha 102.72
_cell_angle_beta 102.72
_cell_angle_gamma 102.72
loop_
_space_group_symop_operation_xyz
'x,y,z'
loop_
_atom_site_label
_atom_site_type_symbol
_atom_site_fract_x
_atom_site_fract_y
_atom_site_fract_z
Ni1 Ni 0.0875 0.3352 0.3352
Ni2 Ni 0.3352 0.0875 0.3352
Ni3 Ni 0.3352 0.3352 0.0875
Ni4 Ni 0.6648 0.6648 0.9125
Ni5 Ni 0.6648 0.9125 0.6648
Ni6 Ni 0.9125 0.6648 0.6648
Ir1 Ir 0.0000 0.0000 0.0000
Ir2 Ir 0.5000 0.5000 0.5000
Rh1 Rh 0.0967 0.0967 0.6817
Rh2 Rh 0.0967 0.6817 0.0967
Rh3 Rh 0.2433 0.5000 0.7567
Rh4 Rh 0.2433 0.7567 0.5000
Rh5 Rh 0.3183 0.9033 0.9033
Rh6 Rh 0.5000 0.2433 0.7567
Rh7 Rh 0.5000 0.7567 0.2433
Rh8 Rh 0.6817 0.0967 0.0967
Rh9 Rh 0.7567 0.2433 0.5000
Rh10 Rh 0.7567 0.5000 0.2433
Rh11 Rh 0.9033 0.3183 0.9033
Rh12 Rh 0.9033 0.9033 0.3183
```

=====

Entry 5:
The following is a computed powder X-ray diffraction pattern of NiIr2Rh4. It was derived from a cell relaxed with PBE, using Cu Kα (λ = 1.5418 Å).
Neutral-atom scattering factors, no anomalous dispersion.

Top 10 peaks for 5° ≤ 2θ ≤ 70°, by angle:
19.8°, I 50
21.5°, I 4
38.8°, I 19
40.3°, I 64
43.9°, I 100
45.3°, I 12
57.1°, I 12
58.3°, I 21
62.2°, I 2
69.2°, I 6

Atomic structure:
```
data_NiIr2Rh4
_space_group_name_H-M_alt 'P 1'
_space_group_IT_number 1
_cell_length_a 5.2385
_cell_length_b 5.2385
_cell_length_c 5.2385
_cell_angle_alpha 105.60
_cell_angle_beta 105.60
_cell_angle_gamma 117.52
loop_
_space_group_symop_operation_xyz
'x,y,z'
loop_
_atom_site_label
_atom_site_type_symbol
_atom_site_fract_x
_atom_site_fract_y
_atom_site_fract_z
Ni1 Ni 0.0000 0.0000 0.0000
Ir1 Ir 0.0000 0.5000 0.5000
Ir2 Ir 0.5000 0.0000 0.5000
Rh1 Rh 0.0000 0.0000 0.5000
Rh2 Rh 0.0000 0.5000 0.0000
Rh3 Rh 0.5000 0.0000 0.0000
Rh4 Rh 0.5000 0.5000 0.5000
```

=====

Entry 6:
The following is a computed powder X-ray diffraction pattern of Ni2IrRh6. It was derived from a cell relaxed with PBE, using Cu Kα (λ = 1.5418 Å).
Neutral-atom scattering factors, no anomalous dispersion.

Top 10 peaks for 5° ≤ 2θ ≤ 70°, by angle:
12.4°, I 42
36.3°, I 23
39.9°, I 100
42.1°, I 97
42.6°, I 77
43.6°, I 71
45.0°, I 65
47.0°, I 35
49.9°, I 44
68.8°, I 20

Atomic structure:
```
data_Ni2IrRh6
_space_group_name_H-M_alt 'P 1'
_space_group_IT_number 1
_cell_length_a 2.6921
_cell_length_b 6.5172
_cell_length_c 7.3430
_cell_angle_alpha 98.90
_cell_angle_beta 100.55
_cell_angle_gamma 90.05
loop_
_space_group_symop_operation_xyz
'x,y,z'
loop_
_atom_site_label
_atom_site_type_symbol
_atom_site_fract_x
_atom_site_fract_y
_atom_site_fract_z
Ni1 Ni 0.2240 0.1596 0.4428
Ni2 Ni 0.7760 0.8404 0.5572
Ir1 Ir 0.5000 0.5000 0.0000
Rh1 Rh 0.0526 0.1872 0.1045
Rh2 Rh 0.1704 0.5454 0.3430
Rh3 Rh 0.3873 0.1269 0.7778
Rh4 Rh 0.6127 0.8731 0.2222
Rh5 Rh 0.8296 0.4546 0.6570
Rh6 Rh 0.9474 0.8128 0.8955
```

=====

Entry 7:
The following is a computed powder X-ray diffraction pattern of NiIr6Rh12. It was derived from a cell relaxed with PBE, using Cu Kα (λ = 1.5418 Å).
Neutral-atom scattering factors, no anomalous dispersion.

Top 10 peaks for 5° ≤ 2θ ≤ 70°, by angle:
19.2°, I 11
23.6°, I 5
30.6°, I 16
41.5°, I 100
43.8°, I 62
46.1°, I 21
52.4°, I 10
60.1°, I 7
63.7°, I 7
65.5°, I 4

Atomic structure:
```
data_NiIr6Rh12
_space_group_name_H-M_alt 'P 1'
_space_group_IT_number 1
_cell_length_a 6.5321
_cell_length_b 6.5321
_cell_length_c 6.5321
_cell_angle_alpha 89.97
_cell_angle_beta 89.97
_cell_angle_gamma 89.97
loop_
_space_group_symop_operation_xyz
'x,y,z'
loop_
_atom_site_label
_atom_site_type_symbol
_atom_site_fract_x
_atom_site_fract_y
_atom_site_fract_z
Ni1 Ni 0.0000 0.0000 0.0000
Ir1 Ir 0.1091 0.2619 0.7265
Ir2 Ir 0.2619 0.7265 0.1091
Ir3 Ir 0.2735 0.8909 0.7381
Ir4 Ir 0.7265 0.1091 0.2619
Ir5 Ir 0.7381 0.2735 0.8909
Ir6 Ir 0.8909 0.7381 0.2735
Rh1 Rh 0.0410 0.3721 0.1539
Rh2 Rh 0.1539 0.0410 0.3721
Rh3 Rh 0.1985 0.5636 0.4817
Rh4 Rh 0.3721 0.1539 0.0410
Rh5 Rh 0.4364 0.5183 0.8015
Rh6 Rh 0.4817 0.1985 0.5636
Rh7 Rh 0.5183 0.8015 0.4364
Rh8 Rh 0.5636 0.4817 0.1985
Rh9 Rh 0.6279 0.8461 0.9590
Rh10 Rh 0.8015 0.4364 0.5183
Rh11 Rh 0.8461 0.9590 0.6279
Rh12 Rh 0.9590 0.6279 0.8461
```

=====

Entry 8:
The following is a computed powder X-ray diffraction pattern of NiIr4Rh2. It was derived from a cell relaxed with PBE, using Cu Kα (λ = 1.5418 Å).
Neutral-atom scattering factors, no anomalous dispersion.

Top 10 peaks for 5° ≤ 2θ ≤ 70°, by angle:
19.2°, I 37
28.1°, I 33
38.7°, I 27
39.2°, I 19
40.1°, I 86
41.1°, I 62
44.0°, I 38
44.4°, I 100
50.1°, I 45
66.7°, I 19

Atomic structure:
```
data_NiIr4Rh2
_space_group_name_H-M_alt 'P 1'
_space_group_IT_number 1
_cell_length_a 5.3435
_cell_length_b 5.3435
_cell_length_c 8.7783
_cell_angle_alpha 90.00
_cell_angle_beta 90.00
_cell_angle_gamma 119.42
loop_
_space_group_symop_operation_xyz
'x,y,z'
loop_
_atom_site_label
_atom_site_type_symbol
_atom_site_fract_x
_atom_site_fract_y
_atom_site_fract_z
Ni1 Ni 0.0000 0.0000 0.2500
Ni2 Ni 0.0000 0.0000 0.7500
Ir1 Ir 0.0000 0.5000 0.2526
Ir2 Ir 0.0000 0.5000 0.7474
Ir3 Ir 0.0122 0.7578 0.0000
Ir4 Ir 0.2422 0.9878 0.5000
Ir5 Ir 0.5000 0.0000 0.2474
Ir6 Ir 0.5000 0.0000 0.7526
Ir7 Ir 0.7578 0.0122 0.5000
Ir8 Ir 0.9878 0.2422 0.0000
Rh1 Rh 0.2650 0.5012 0.5000
Rh2 Rh 0.4988 0.7350 0.0000
Rh3 Rh 0.5012 0.2650 0.0000
Rh4 Rh 0.7350 0.4988 0.5000
```

=====

Entry 9:
The following is a computed powder X-ray diffraction pattern of Ni12Ir2Rh5. It was derived from a cell relaxed with PBE, using Cu Kα (λ = 1.5418 Å).
Neutral-atom scattering factors, no anomalous dispersion.

Top 10 peaks for 5° ≤ 2θ ≤ 70°, by angle:
22.7°, I 7
28.2°, I 7
28.5°, I 7
32.5°, I 15
42.5°, I 8
43.2°, I 100
44.1°, I 5
47.9°, I 21
50.2°, I 13
52.8°, I 12

Atomic structure:
```
data_Ni12Ir2Rh5
_space_group_name_H-M_alt 'P 1'
_space_group_IT_number 1
_cell_length_a 6.8647
_cell_length_b 6.8647
_cell_length_c 5.5125
_cell_angle_alpha 91.40
_cell_angle_beta 91.40
_cell_angle_gamma 67.20
loop_
_space_group_symop_operation_xyz
'x,y,z'
loop_
_atom_site_label
_atom_site_type_symbol
_atom_site_fract_x
_atom_site_fract_y
_atom_site_fract_z
Ni1 Ni 0.0501 0.0501 0.3004
Ni2 Ni 0.0536 0.5499 0.8000
Ni3 Ni 0.1245 0.6653 0.4021
Ni4 Ni 0.3347 0.8755 0.5979
Ni5 Ni 0.3660 0.3660 0.0933
Ni6 Ni 0.4501 0.9464 0.2000
Ni7 Ni 0.5499 0.0536 0.8000
Ni8 Ni 0.6340 0.6340 0.9067
Ni9 Ni 0.6653 0.1245 0.4021
Ni10 Ni 0.8755 0.3347 0.5979
Ni11 Ni 0.9464 0.4501 0.2000
Ni12 Ni 0.9499 0.9499 0.6996
Ir1 Ir 0.2511 0.7489 0.0000
Ir2 Ir 0.7489 0.2511 0.0000
Rh1 Rh 0.1584 0.1584 0.9078
Rh2 Rh 0.2641 0.2641 0.4964
Rh3 Rh 0.5000 0.5000 0.5000
Rh4 Rh 0.7359 0.7359 0.5036
Rh5 Rh 0.8416 0.8416 0.0922
```

=====

Entry 10:
The following is a computed powder X-ray diffraction pattern of Ni2IrRh9. It was derived from a cell relaxed with PBE, using Cu Kα (λ = 1.5418 Å).
Neutral-atom scattering factors, no anomalous dispersion.

Top 10 peaks for 5° ≤ 2θ ≤ 70°, by angle:
7.8°, I 9
15.5°, I 2
24.6°, I 3
28.1°, I 3
36.9°, I 2
41.0°, I 100
47.7°, I 32
47.9°, I 16
69.7°, I 10
69.9°, I 20

Atomic structure:
```
data_Ni2IrRh9
_space_group_name_H-M_alt 'P 1'
_space_group_IT_number 1
_cell_length_a 3.8137
_cell_length_b 3.8137
_cell_length_c 11.4039
_cell_angle_alpha 90.00
_cell_angle_beta 90.00
_cell_angle_gamma 90.00
loop_
_space_group_symop_operation_xyz
'x,y,z'
loop_
_atom_site_label
_atom_site_type_symbol
_atom_site_fract_x
_atom_site_fract_y
_atom_site_fract_z
Ni1 Ni 0.0000 0.0000 0.1626
Ni2 Ni 0.0000 0.0000 0.8374
Ir1 Ir 0.0000 0.0000 0.5000
Rh1 Rh 0.0000 0.5000 0.0000
Rh2 Rh 0.0000 0.5000 0.3312
Rh3 Rh 0.0000 0.5000 0.6688
Rh4 Rh 0.5000 0.0000 0.0000
Rh5 Rh 0.5000 0.0000 0.3312
Rh6 Rh 0.5000 0.0000 0.6688
Rh7 Rh 0.5000 0.5000 0.1660
Rh8 Rh 0.5000 0.5000 0.5000
Rh9 Rh 0.5000 0.5000 0.8340
```

=====

Entry 11:
The following is a computed powder X-ray diffraction pattern of Ni2Ir3Rh2. It was derived from a cell relaxed with PBE, using Cu Kα (λ = 1.5418 Å).
Neutral-atom scattering factors, no anomalous dispersion.

Top 10 peaks for 5° ≤ 2θ ≤ 70°, by angle:
9.3°, I 81
33.3°, I 7
40.9°, I 94
41.5°, I 100
44.1°, I 34
48.2°, I 30
51.3°, I 32
67.4°, I 19
69.1°, I 10
69.9°, I 10

Atomic structure:
```
data_Ni2Ir3Rh2
_space_group_name_H-M_alt 'P 1'
_space_group_IT_number 1
_cell_length_a 9.7038
_cell_length_b 9.7038
_cell_length_c 2.6909
_cell_angle_alpha 90.00
_cell_angle_beta 90.00
_cell_angle_gamma 157.54
loop_
_space_group_symop_operation_xyz
'x,y,z'
loop_
_atom_site_label
_atom_site_type_symbol
_atom_site_fract_x
_atom_site_fract_y
_atom_site_fract_z
Ni1 Ni 0.1415 0.8585 0.0000
Ni2 Ni 0.8585 0.1415 0.0000
Ir1 Ir 0.0000 0.0000 0.0000
Ir2 Ir 0.4280 0.5720 0.5000
Ir3 Ir 0.5720 0.4280 0.5000
Rh1 Rh 0.2926 0.7074 0.5000
Rh2 Rh 0.7074 0.2926 0.5000
```

=====

Entry 12:
The following is a computed powder X-ray diffraction pattern of Ni2IrRh2. It was derived from a cell relaxed with PBE, using Cu Kα (λ = 1.5418 Å).
Neutral-atom scattering factors, no anomalous dispersion.

Top 10 peaks for 5° ≤ 2θ ≤ 70°, by angle:
8.3°, I 84
16.7°, I 3
33.8°, I 10
39.2°, I 11
41.4°, I 100
42.6°, I 29
43.8°, I 11
45.2°, I 3
48.5°, I 61
63.8°, I 6

Atomic structure:
```
data_Ni2IrRh2
_space_group_name_H-M_alt 'P 1'
_space_group_IT_number 1
_cell_length_a 10.7313
_cell_length_b 10.7313
_cell_length_c 10.7313
_cell_angle_alpha 14.35
_cell_angle_beta 14.35
_cell_angle_gamma 14.35
loop_
_space_group_symop_operation_xyz
'x,y,z'
loop_
_atom_site_label
_atom_site_type_symbol
_atom_site_fract_x
_atom_site_fract_y
_atom_site_fract_z
Ni1 Ni 0.1971 0.1971 0.1971
Ni2 Ni 0.8029 0.8029 0.8029
Ir1 Ir 0.0000 0.0000 0.0000
Rh1 Rh 0.4036 0.4036 0.4036
Rh2 Rh 0.5964 0.5964 0.5964
```

=====

Entry 13:
The following is a computed powder X-ray diffraction pattern of Ni7IrRh4. It was derived from a cell relaxed with PBE, using Cu Kα (λ = 1.5418 Å).
Neutral-atom scattering factors, no anomalous dispersion.

Top 10 peaks for 5° ≤ 2θ ≤ 70°, by angle:
27.2°, I 29
36.6°, I 22
40.8°, I 100
40.9°, I 24
41.1°, I 50
41.8°, I 48
44.1°, I 82
48.5°, I 26
59.1°, I 25
59.2°, I 33

Atomic structure:
```
data_Ni7IrRh4
_space_group_name_H-M_alt 'P 1'
_space_group_IT_number 1
_cell_length_a 4.9697
_cell_length_b 4.9697
_cell_length_c 8.8756
_cell_angle_alpha 110.74
_cell_angle_beta 110.74
_cell_angle_gamma 52.90
loop_
_space_group_symop_operation_xyz
'x,y,z'
loop_
_atom_site_label
_atom_site_type_symbol
_atom_site_fract_x
_atom_site_fract_y
_atom_site_fract_z
Ni1 Ni 0.0000 0.0000 0.0000
Ni2 Ni 0.1479 0.1479 0.6138
Ni3 Ni 0.2123 0.2123 0.9106
Ni4 Ni 0.3731 0.3731 0.5258
Ni5 Ni 0.6269 0.6269 0.4742
Ni6 Ni 0.7877 0.7877 0.0894
Ni7 Ni 0.8521 0.8521 0.3862
Ir1 Ir 0.5000 0.5000 0.0000
Rh1 Rh 0.0955 0.0955 0.3017
Rh2 Rh 0.3697 0.3697 0.2316
Rh3 Rh 0.6303 0.6303 0.7684
Rh4 Rh 0.9045 0.9045 0.6983
```